NbBOs: theoretical X-ray diffraction stick pattern (Cu Kα), based on a DFT-relaxed cell (PBE, Alexandria).

Structure:
```
NbBOs
1.0
9.116 0.000 0.000
0.000 15.879 0.000
0.000 0.000 3.114
Nb B Os
12 12 12
direct
0.015 0.094 0.000 Nb
0.188 0.702 0.000 Nb
0.201 0.496 0.000 Nb
0.299 0.996 0.000 Nb
0.312 0.202 0.000 Nb
0.485 0.594 0.000 Nb
0.515 0.406 0.000 Nb
0.688 0.798 0.000 Nb
0.701 0.004 0.000 Nb
0.799 0.504 0.000 Nb
0.812 0.298 0.000 Nb
0.985 0.906 0.000 Nb
0.104 0.998 0.500 B
0.109 0.333 0.000 B
0.215 0.098 0.500 B
0.285 0.598 0.500 B
0.391 0.833 0.000 B
0.396 0.498 0.500 B
0.604 0.502 0.500 B
0.609 0.167 0.000 B
0.715 0.402 0.500 B
0.785 0.902 0.500 B
0.891 0.667 0.000 B
0.896 0.002 0.500 B
0.016 0.594 0.500 Os
0.061 0.235 0.500 Os
0.220 0.855 0.500 Os
0.280 0.355 0.500 Os
0.439 0.735 0.500 Os
0.484 0.094 0.500 Os
0.516 0.906 0.500 Os
0.561 0.265 0.500 Os
0.720 0.645 0.500 Os
0.780 0.145 0.500 Os
0.939 0.765 0.500 Os
0.984 0.406 0.500 Os
```

Peak list (10 most intense, 15 to 90 degrees two-theta, by angle)
hkl, Position (°2θ), I (rel.)
0 2 1, 30.85, 32
1 2 1, 32.40, 25
2 3 1, 38.94, 27
2 6 0, 39.37, 68
4 1 0, 39.96, 25
1 5 1, 41.83, 100
3 1 1, 41.93, 53
4 3 0, 43.16, 26
0 0 2, 59.35, 24
2 6 2, 73.57, 22